Record 1
Starting from a DFT-relaxed cell (GGA-PBE, the Materials Project), the powder diffraction line list of CaGdZn2 was calculated for Cu Kα (λ = 1.5418 Å).

Largest 8 diffraction maxima, sorted by position, 5 to 70 degrees two-theta:
Position (°2θ)  I (rel.)
21.31  25.0
24.65  3.2
35.15  100.0
41.47  14.1
50.55  17.3
55.46  6.2
63.06  34.7
67.38  4.7

Crystal structure
```
CaGdZn2
1.0
0.000 3.611 3.611
3.611 0.000 3.611
3.611 3.611 0.000
Ca Gd Zn
1 1 2
Direct
0.000 0.000 0.000
0.500 0.500 0.500
0.250 0.250 0.250
0.750 0.750 0.750
```

Record 2
Starting from a DFT-relaxed cell (GGA-PBE, the Materials Project), the powder diffraction line list of Pb7Br2O8 was calculated for Cu Kα (λ = 1.5418 Å).

Largest 8 diffraction maxima, sorted by position, 5 to 70 degrees two-theta:
Position (°2θ)  I (rel.)
14.01  54.3
24.14  45.5
26.41  45.3
26.69  41.3
28.46  100.0
30.16  67.4
30.68  53.1
34.12  27.2

Crystal structure
```
Pb7Br2O8
1.0
5.994 0.000 0.000
0.000 20.019 0.000
-2.935 0.000 6.662
Pb Br O
14 4 16
Direct
0.021 0.000 0.343
0.054 0.335 0.853
0.109 0.701 0.477
0.269 0.563 0.286
0.411 0.370 0.550
0.413 0.994 0.050
0.441 0.708 0.123
0.559 0.208 0.877
0.587 0.494 0.950
0.589 0.870 0.450
0.731 0.063 0.714
0.891 0.201 0.523
0.946 0.835 0.147
0.979 0.500 0.657
0.215 0.257 0.183
0.235 0.896 0.711
0.765 0.396 0.289
0.785 0.757 0.817
0.037 0.123 0.765
0.205 0.915 0.208
0.218 0.273 0.695
0.244 0.534 0.997
0.264 0.773 0.301
0.274 0.413 0.797
0.330 0.501 0.540
0.472 0.140 0.617
0.528 0.640 0.383
0.670 0.001 0.460
0.726 0.913 0.203
0.736 0.273 0.699
0.756 0.034 0.003
0.782 0.773 0.305
0.795 0.415 0.792
0.963 0.623 0.235
```

Record 3
Starting from a DFT-relaxed cell (GGA-PBE, the Materials Project), the powder diffraction line list of TiOF was calculated for Cu Kα (λ = 1.5418 Å).

Largest 8 diffraction maxima, sorted by position, 5 to 70 degrees two-theta:
Position (°2θ)  I (rel.)
13.61  100.0
25.98  34.1
39.51  12.9
40.51  36.8
44.93  15.5
47.16  6.7
51.69  11.0
62.07  16.7

Crystal structure
```
TiOF
1.0
3.055 0.000 0.000
0.000 4.035 0.000
0.000 0.000 6.506
Ti O F
2 2 2
Direct
0.250 0.250 0.112
0.750 0.750 0.888
0.250 0.750 0.102
0.750 0.250 0.898
0.250 0.750 0.687
0.750 0.250 0.313
```

Record 4
Starting from a DFT-relaxed cell (GGA-PBE, the Materials Project), the powder diffraction line list of Cu6BiS6 was calculated for Cu Kα (λ = 1.5418 Å).

Largest 8 diffraction maxima, sorted by position, 5 to 70 degrees two-theta:
Position (°2θ)  I (rel.)
9.27  99.1
18.61  87.8
26.75  100.0
27.44  86.4
29.90  62.9
30.38  80.0
31.32  69.2
47.40  80.1

Crystal structure
```
Cu6BiS6
1.0
3.800 0.000 0.000
-1.802 3.462 0.000
-0.128 -0.776 19.074
Cu Bi S
6 1 6
Direct
0.000 0.000 0.000
0.014 0.022 0.751
0.258 0.505 0.858
0.509 0.328 0.406
0.695 0.378 0.660
0.945 0.859 0.516
0.380 0.758 0.208
0.020 0.077 0.122
0.029 0.034 0.629
0.330 0.650 0.970
0.411 0.794 0.459
0.709 0.409 0.791
0.716 0.418 0.296
```

Record 5
Starting from a DFT-relaxed cell (GGA-PBE, the Materials Project), the powder diffraction line list of Nb7Co6 was calculated for Cu Kα (λ = 1.5418 Å).

Largest 8 diffraction maxima, sorted by position, 5 to 70 degrees two-theta:
Position (°2θ)  I (rel.)
36.10  85.2
40.38  48.7
41.49  20.5
41.82  100.0
42.08  31.8
43.52  55.7
45.54  39.4
68.82  21.6

Crystal structure
```
Nb7Co6
1.0
2.488 1.436 8.707
-2.488 1.436 8.707
0.000 -2.873 8.707
Nb Co
7 6
Direct
0.000 0.000 0.000
0.167 0.167 0.167
0.347 0.347 0.347
0.450 0.450 0.450
0.550 0.550 0.550
0.653 0.653 0.653
0.833 0.833 0.833
0.093 0.093 0.579
0.093 0.579 0.093
0.421 0.907 0.907
0.579 0.093 0.093
0.907 0.421 0.907
0.907 0.907 0.421
```

Record 6
Starting from a DFT-relaxed cell (GGA-PBE, the Materials Project), the powder diffraction line list of Fe2Cu6SnS8 was calculated for Cu Kα (λ = 1.5418 Å).

Largest 8 diffraction maxima, sorted by position, 5 to 70 degrees two-theta:
Position (°2θ)  I (rel.)
20.38  8.1
28.86  100.0
33.31  14.7
47.82  27.0
48.13  53.0
56.82  26.9
57.37  13.1
69.94  8.0

Crystal structure
```
Fe2Cu6SnS8
1.0
7.609 0.000 0.000
0.000 7.609 0.000
0.000 0.000 5.316
Fe Cu Sn S
2 6 1 8
Direct
0.000 0.000 0.000
0.000 0.000 0.500
0.000 0.500 0.490
0.251 0.251 0.000
0.251 0.749 0.000
0.500 0.000 0.510
0.749 0.251 0.000
0.749 0.749 0.000
0.500 0.500 0.500
0.000 0.242 0.254
0.000 0.758 0.254
0.234 0.500 0.761
0.242 0.000 0.746
0.500 0.234 0.239
0.500 0.766 0.239
0.758 0.000 0.746
0.766 0.500 0.761
```